No. 1
Structure and theoretical powder diffraction line list of AlZn5 (a structure optimized by DFT (PBE); Cu Kα, 1.54184 Å).

Cell and atoms:
```
data_AlZn5
_chemical_formula_sum 'Al1 Zn5'
_cell_length_a 2.807
_cell_length_b 2.807
_cell_length_c 11.741
_cell_angle_alpha 90.00
_cell_angle_beta 90.00
_cell_angle_gamma 90.00
_symmetry_space_group_name_H-M 'P 4/m m m'
_symmetry_Int_Tables_number 123
_symmetry_space_group_name_Hall '-P 4 2'
loop_
_atom_site_label
_atom_site_fract_x
_atom_site_fract_y
_atom_site_fract_z
_atom_site_occupancy
Al1 0.000 0.000 0.000 1
Zn1 0.000 0.000 0.336 1
Zn2 0.500 0.500 0.170 1
Zn3 0.500 0.500 0.500 1
```

Main lines, low angle first (10° ≤ 2θ ≤ 80°):
hkl 0 0 2, 2θ 15.09, I = 3.6; hkl 0 0 3, 2θ 22.72, I = 1.4; hkl 1 0 0, 2θ 31.88, I = 1.2; hkl 1 0 1, 2θ 32.80, I = 2.2; hkl 1 0 3, 2θ 39.51, I = 100.0; hkl 1 0 4, 2θ 44.67, I = 1.9; hkl 1 1 0, 2θ 45.71, I = 32.6; hkl 0 0 6, 2θ 46.40, I = 16.4; hkl 2 0 0, 2θ 66.64, I = 9.9; hkl 1 1 6, 2θ 67.18, I = 19.4

No. 2
Structure and theoretical powder diffraction line list of YGaCu6 (a structure optimized by DFT (PBE); Cu Kα, 1.54184 Å).

Cell and atoms:
```
data_YGaCu6
_chemical_formula_sum 'Y1 Ga1 Cu6'
_cell_length_a 4.902
_cell_length_b 4.902
_cell_length_c 4.902
_cell_angle_alpha 90.00
_cell_angle_beta 90.00
_cell_angle_gamma 90.00
_symmetry_space_group_name_H-M 'P m -3'
_symmetry_Int_Tables_number 200
_symmetry_space_group_name_Hall '-P 2 2 3'
loop_
_atom_site_label
_atom_site_fract_x
_atom_site_fract_y
_atom_site_fract_z
_atom_site_occupancy
Y1 0.000 0.000 0.000 1
Ga1 0.500 0.500 0.500 1
Cu1 0.000 0.259 0.500 1
```

Main lines, low angle first (10° ≤ 2θ ≤ 80°):
hkl 1 1 0, 2θ 25.70, I = 1.5; hkl 1 1 1, 2θ 31.61, I = 1.4; hkl 2 0 0, 2θ 36.67, I = 42.0; hkl 2 1 0, 2θ 41.18, I = 100.0; hkl 2 1 1, 2θ 45.32, I = 89.6; hkl 3 0 1, 2θ 59.65, I = 0.7; hkl 2 2 2, 2θ 66.02, I = 5.7; hkl 3 0 2, 2θ 69.09, I = 19.5; hkl 3 2 1, 2θ 72.09, I = 41.9; hkl 4 0 0, 2θ 77.96, I = 14.7

No. 3
Structure and theoretical powder diffraction line list of Ba2Al4Hg3Pb (a structure optimized by DFT (PBE); Cu Kα, 1.54184 Å).

Cell and atoms:
```
data_Ba2Al4Hg3Pb
_chemical_formula_sum 'Ba2 Al4 Hg3 Pb1'
_cell_length_a 4.815
_cell_length_b 4.815
_cell_length_c 11.427
_cell_angle_alpha 90.00
_cell_angle_beta 90.00
_cell_angle_gamma 90.00
_symmetry_space_group_name_H-M 'P -4 m 2'
_symmetry_Int_Tables_number 115
loop_
_symmetry_equiv_pos_as_xyz
'x,y,z'
'y,-x,-z'
'-x,-y,z'
'-y,x,-z'
'-x,y,z'
'-y,-x,-z'
'x,-y,z'
'y,x,-z'
loop_
_atom_site_label
_atom_site_fract_x
_atom_site_fract_y
_atom_site_fract_z
_atom_site_occupancy
Ba1 0.000 0.500 0.245 1
Al1 0.000 0.000 0.000 1
Al2 0.000 0.500 0.640 1
Al3 0.500 0.500 0.000 1
Hg1 0.000 0.500 0.875 1
Hg2 0.500 0.500 0.500 1
Pb1 0.000 0.000 0.500 1
```

Main lines, low angle first (10° ≤ 2θ ≤ 80°):
hkl 0 0 3, 2θ 23.35, I = 33.0; hkl 1 0 2, 2θ 24.17, I = 35.7; hkl 1 1 1, 2θ 27.33, I = 90.2; hkl 1 0 3, 2θ 29.91, I = 64.9; hkl 1 1 2, 2θ 30.57, I = 100.0; hkl 2 0 0, 2θ 37.35, I = 76.1; hkl 1 1 4, 2θ 41.25, I = 35.6; hkl 2 1 3, 2θ 48.57, I = 34.0; hkl 2 2 0, 2θ 53.86, I = 26.7; hkl 3 1 2, 2θ 63.19, I = 32.2

No. 4
Structure and theoretical powder diffraction line list of K3UCu2S6 (a structure optimized by DFT (PBE); Cu Kα, 1.54184 Å).

Cell and atoms:
```
data_K3UCu2S6
_chemical_formula_sum 'K6 U2 Cu4 S12'
_cell_length_a 6.174
_cell_length_b 14.020
_cell_length_c 7.471
_cell_angle_alpha 90.00
_cell_angle_beta 108.71
_cell_angle_gamma 90.00
_symmetry_space_group_name_H-M 'C 1 2/m 1'
_symmetry_Int_Tables_number 12
loop_
_symmetry_equiv_pos_as_xyz
'x,y,z'
'-x,-y,-z'
'-x,y,-z'
'x,-y,z'
'x+1/2,y+1/2,z'
'-x+1/2,-y+1/2,-z'
'-x+1/2,y+1/2,-z'
'x+1/2,-y+1/2,z'
loop_
_atom_site_label
_atom_site_fract_x
_atom_site_fract_y
_atom_site_fract_z
_atom_site_occupancy
K1 0.000 0.000 0.000 1
K2 0.000 0.321 0.000 1
U1 0.000 0.500 0.500 1
Cu1 0.000 0.095 0.500 1
S1 0.220 0.500 0.264 1
S2 0.228 0.136 0.322 1
```

Main lines, low angle first (10° ≤ 2θ ≤ 80°):
hkl 0 0 1, 2θ 12.51, I = 92.6; hkl 0 2 0, 2θ 12.63, I = 100.0; hkl 0 2 1, 2θ 17.81, I = 74.0; hkl 0 0 2, 2θ 25.14, I = 41.8; hkl 1 3 1, 2θ 29.70, I = 82.2; hkl 2 0 -2, 2θ 32.89, I = 36.4; hkl 1 5 0, 2θ 35.50, I = 27.7; hkl 1 5 1, 2θ 39.48, I = 26.2; hkl 1 3 -3, 2θ 41.20, I = 21.3; hkl 3 3 -1, 2θ 48.39, I = 26.4

No. 5
Structure and theoretical powder diffraction line list of In2Ni (a structure optimized by DFT (PBE); Cu Kα, 1.54184 Å).

Cell and atoms:
```
data_In2Ni
_chemical_formula_sum 'In4 Ni2'
_cell_length_a 2.976
_cell_length_b 12.098
_cell_length_c 3.266
_cell_angle_alpha 90.00
_cell_angle_beta 90.00
_cell_angle_gamma 90.00
_symmetry_space_group_name_H-M 'C m m m'
_symmetry_Int_Tables_number 65
_symmetry_space_group_name_Hall '-C 2 2'
loop_
_atom_site_label
_atom_site_fract_x
_atom_site_fract_y
_atom_site_fract_z
_atom_site_occupancy
In1 0.000 0.135 0.000 1
Ni1 0.000 0.500 0.500 1
```

Main lines, low angle first (10° ≤ 2θ ≤ 80°):
hkl 0 0 1, 2θ 27.31, I = 46.1; hkl 0 4 0, 2θ 29.53, I = 34.8; hkl 0 2 1, 2θ 31.12, I = 20.4; hkl 1 3 0, 2θ 37.56, I = 92.5; hkl 0 4 1, 2θ 40.66, I = 95.0; hkl 1 1 1, 2θ 41.74, I = 100.0; hkl 1 3 1, 2θ 47.06, I = 23.5; hkl 1 7 1, 2θ 69.12, I = 34.8; hkl 1 3 2, 2θ 69.70, I = 28.0; hkl 2 4 1, 2θ 77.19, I = 26.9